1.
SrCa7Mn6Cr2O22: calculated PXRD pattern (λ = 1.5418 Å (Cu Kα)), based on the GGA+U geometry in the Materials Project.
Peak positions follow from Bragg's law for the DFT cell and can differ from measured ones.

Top 12 peaks for 10° ≤ 2θ ≤ 80°, sorted by position:
d_spacing	2theta	I (rel.)
3.859	23.05	5
3.833	23.21	5
2.744	32.64	16
2.719	32.95	100
1.930	47.10	34
1.917	47.44	14
1.579	58.44	16
1.571	58.79	11
1.567	58.92	15
1.361	69.03	7
1.359	69.12	7
1.213	78.93	5

abc: 7.6661 7.7142 7.7235
angles: 90.61 90.08 90.05
Fractional coordinates of all 38 atoms:
Sr 0.0000 0.0000 0.0000
Ca 0.0002 0.9962 0.4958
Ca 0.4934 0.9991 0.9980
Ca 0.4993 0.4986 0.9992
Ca 0.5009 0.9917 0.4975
Ca 0.5215 0.4986 0.5013
Ca 0.9847 0.4971 0.4986
Ca 0.9860 0.4959 0.0010
Mn 0.2300 0.2534 0.7448
Mn 0.2479 0.2549 0.2562
Mn 0.7245 0.2498 0.2522
Mn 0.7288 0.7477 0.7481
Mn 0.7393 0.2488 0.7473
Mn 0.7396 0.7466 0.2511
Cr 0.2309 0.7402 0.2537
Cr 0.2462 0.7397 0.7426
O 0.1732 0.4869 0.2435
O 0.1749 0.5076 0.7555
O 0.1805 0.2520 0.4942
O 0.1801 0.7430 0.5095
O 0.2385 0.9879 0.7412
O 0.2430 0.0060 0.2602
O 0.2523 0.2461 0.0038
O 0.2526 0.7472 0.9899
O 0.4774 0.7093 0.7077
O 0.4819 0.2922 0.2861
O 0.4825 0.2818 0.7172
O 0.4890 0.7111 0.2881
O 0.6990 0.0003 0.2479
O 0.7014 0.9970 0.7517
O 0.7028 0.7434 0.9983
O 0.7133 0.2527 0.0025
O 0.7793 0.5028 0.7495
O 0.7812 0.2413 0.4939
O 0.7828 0.4930 0.2497
O 0.7843 0.7558 0.5047
O 0.9780 0.7804 0.2172
O 0.9825 0.2197 0.7784

***

2.
Ca2NbCrO6: calculated PXRD pattern (λ = 1.5418 Å (Cu Kα)), based on the GGA+U geometry in the Materials Project.
Peak positions follow from Bragg's law for the DFT cell and can differ from measured ones.

Top 12 peaks for 10° ≤ 2θ ≤ 80°, sorted by position:
d_spacing	2theta	I (rel.)
4.544	19.54	8
3.908	22.75	40
2.793	32.04	25
2.763	32.40	100
2.736	32.73	23
1.954	46.47	53
1.748	52.35	12
1.607	57.34	17
1.601	57.59	11
1.587	58.14	18
1.584	58.25	12
1.236	77.18	10

abc: 5.4728 5.5867 9.5295
angles: 90.00 124.95 90.00
Fractional coordinates of all 20 atoms:
Ca 0.2388 0.0461 0.2485
Ca 0.2388 0.4539 0.7485
Ca 0.7612 0.5461 0.2515
Ca 0.7612 0.9539 0.7515
Nb 0.5000 0.0000 0.0000
Nb 0.5000 0.5000 0.5000
Cr 0.0000 0.0000 0.5000
Cr 0.0000 0.5000 0.0000
O 0.1605 0.2056 0.9565
O 0.1605 0.2944 0.4565
O 0.2500 0.7062 0.9534
O 0.2500 0.7938 0.4534
O 0.3369 0.0255 0.7505
O 0.3369 0.4745 0.2505
O 0.6631 0.5255 0.7495
O 0.6631 0.9745 0.2495
O 0.7500 0.2062 0.5466
O 0.7500 0.2938 0.0466
O 0.8395 0.7056 0.5435
O 0.8395 0.7944 0.0435

***

3.
SrCaNbCrO6: calculated PXRD pattern (λ = 1.5418 Å (Cu Kα)), based on the GGA+U geometry in the Materials Project.
Peak positions follow from Bragg's law for the DFT cell and can differ from measured ones.

Top 12 peaks for 10° ≤ 2θ ≤ 80°, sorted by position:
d_spacing	2theta	I (rel.)
4.587	19.35	11
4.560	19.46	10
3.961	22.44	8
2.815	31.79	25
2.800	31.96	100
2.790	32.08	24
2.385	37.72	11
1.981	45.82	52
1.622	56.75	18
1.619	56.88	11
1.613	57.09	33
1.400	66.82	18

abc: 5.5803 5.6291 9.6810
angles: 90.00 125.16 90.00
Fractional coordinates of all 20 atoms:
Sr 0.0000 0.2257 0.0000
Sr 0.0000 0.7743 0.5000
Ca 0.5133 0.2889 0.5021
Ca 0.5133 0.7111 0.0021
Nb 0.2542 0.2490 0.7501
Nb 0.2542 0.7510 0.2501
Cr 0.7547 0.2484 0.2506
Cr 0.7547 0.7516 0.7506
O 0.0013 0.4714 0.2180
O 0.0013 0.5286 0.7180
O 0.0835 0.2379 0.5008
O 0.0835 0.7621 0.0008
O 0.4471 0.2696 0.9998
O 0.4471 0.7304 0.4998
O 0.5016 0.0395 0.2904
O 0.5016 0.9605 0.7904
O 0.5639 0.4705 0.7802
O 0.5639 0.5295 0.2802
O 0.9249 0.0417 0.7112
O 0.9249 0.9583 0.2112

***

4.
CaNdCrO4: calculated PXRD pattern (λ = 1.5418 Å (Cu Kα)), based on the GGA+U geometry in the Materials Project.
Peak positions follow from Bragg's law for the DFT cell and can differ from measured ones.

Top 12 peaks for 10° ≤ 2θ ≤ 80°, sorted by position:
d_spacing	2theta	I (rel.)
6.029	14.69	47
3.687	24.14	47
2.789	32.10	100
2.739	32.70	74
2.493	36.02	20
2.047	44.25	26
2.027	44.71	30
2.010	45.12	14
1.936	46.92	41
1.620	56.83	18
1.591	57.98	37
1.394	67.13	16

abc: 6.6214 6.6214 6.6214
angles: 145.99 145.99 48.86
Fractional coordinates of all 7 atoms:
Ca 0.0000 0.0000 0.0000
Nd 0.7174 0.7174 0.0000
Cr 0.3627 0.3627 0.0000
O 0.1879 0.1879 0.0000
O 0.3536 0.8536 0.5000
O 0.5293 0.5293 0.0000
O 0.8536 0.3536 0.5000

***

5.
CaNdCr4O12: calculated PXRD pattern (λ = 1.5418 Å (Cu Kα)), based on the GGA+U geometry in the Materials Project.
Peak positions follow from Bragg's law for the DFT cell and can differ from measured ones.

Top 12 peaks for 10° ≤ 2θ ≤ 80°, sorted by position:
d_spacing	2theta	I (rel.)
7.521	11.77	20
5.281	16.79	23
4.322	20.55	100
2.650	33.83	88
2.640	33.95	46
2.265	39.80	20
2.253	40.02	34
1.880	48.41	22
1.867	48.78	39
1.532	60.45	18
1.526	60.68	36
1.325	71.17	20

abc: 7.5206 5.2807 5.2807
angles: 89.96 90.00 90.00
Fractional coordinates of all 18 atoms:
Ca 0.0000 0.0000 0.0000
Nd 0.5000 0.5394 0.5394
Cr 0.2453 0.0232 0.5146
Cr 0.2453 0.5146 0.0232
Cr 0.7547 0.0232 0.5146
Cr 0.7547 0.5146 0.0232
O 0.0000 0.0615 0.4775
O 0.0000 0.4775 0.0615
O 0.2136 0.7275 0.7275
O 0.2481 0.2315 0.8026
O 0.2481 0.8026 0.2315
O 0.2873 0.3062 0.3062
O 0.5000 0.5434 0.9840
O 0.5000 0.9840 0.5434
O 0.7127 0.3062 0.3062
O 0.7519 0.2315 0.8026
O 0.7519 0.8026 0.2315
O 0.7864 0.7275 0.7275

***

6.
CaNdCrO4: calculated PXRD pattern (λ = 1.5418 Å (Cu Kα)), based on the GGA+U geometry in the Materials Project.
Peak positions follow from Bragg's law for the DFT cell and can differ from measured ones.

Top 12 peaks for 10° ≤ 2θ ≤ 80°, sorted by position:
d_spacing	2theta	I (rel.)
4.942	17.95	34
4.100	21.68	41
3.720	23.92	14
2.825	31.67	39
2.788	32.10	100
2.716	32.98	39
2.264	39.81	20
2.036	44.51	18
2.007	45.18	14
1.958	46.37	42
1.624	56.67	28
1.582	58.34	18

abc: 6.5472 6.5472 5.6510
angles: 90.00 90.00 130.99
Fractional coordinates of all 14 atoms:
Ca 0.1029 0.8971 0.5000
Ca 0.8971 0.1029 0.0000
Nd 0.3882 0.6118 0.5380
Nd 0.6118 0.3882 0.0380
Cr 0.2496 0.7504 0.0215
Cr 0.7504 0.2496 0.5215
O 0.0202 0.4753 0.2679
O 0.0821 0.9179 0.0856
O 0.4227 0.5773 0.9546
O 0.4753 0.0202 0.7679
O 0.5247 0.9798 0.2679
O 0.5773 0.4227 0.4546
O 0.9179 0.0821 0.5856
O 0.9798 0.5247 0.7679